For CdHg3, the PBE geometry in the Materials Project gives the computed powder XRD pattern in this record (Cu Kα (λ = 1.5418 Å)).
Peak positions follow from Bragg's law for the DFT cell and can differ from measured ones.

Peak list (6 most intense, 15° ≤ 2θ ≤ 90°, by angle)
2θ 30.6, intensity 23, (2 0 0)
2θ 33.0, intensity 26, (0 0 2)
2θ 34.9, intensity 100, (2 0 1)
2θ 54.4, intensity 19, (2 2 0)
2θ 60.2, intensity 21, (2 0 3)
2θ 65.1, intensity 22, (2 2 2)

Structural model:
```
data_CdHg3
_chemical_formula_sum 'Cd2 Hg6'
_symmetry_space_group_name_H-M 'P 63/m m c'
_symmetry_Int_Tables_number 194
_symmetry_space_group_name_Hall '-P 6c 2c'
_cell_length_a 6.7475
_cell_length_b 6.7475
_cell_length_c 5.4244
_cell_angle_alpha 90.00
_cell_angle_beta 90.00
_cell_angle_gamma 120.00
loop_
_atom_site_label
_atom_site_type_symbol
_atom_site_fract_x
_atom_site_fract_y
_atom_site_fract_z
_atom_site_occupancy
Cd1 Cd 0.3333 0.6667 0.2500 1
Hg1 Hg 0.1674 0.3347 0.7500 1
```

For La3Ga2Rh2, the PBE geometry in the Materials Project gives the computed powder XRD pattern in this record (Cu Kα (λ = 1.5418 Å)).
Peak positions follow from Bragg's law for the DFT cell and can differ from measured ones.

Peak list (6 most intense, 15° ≤ 2θ ≤ 90°, by angle)
2θ 32.2, intensity 48, (1 1 4)
2θ 32.8, intensity 46, (2 1 0)
2θ 32.9, intensity 45, (1 2 3)
2θ 33.8, intensity 48, (0 2 4)
2θ 35.7, intensity 79, (1 3 0)
2θ 38.4, intensity 100, (2 1 3)

Structural model:
```
data_La3Ga2Rh2
_chemical_formula_sum 'La12 Ga8 Rh8'
_symmetry_space_group_name_H-M 'P b c m'
_symmetry_Int_Tables_number 57
_symmetry_space_group_name_Hall '-P 2c 2b'
_cell_length_a 5.779
_cell_length_b 8.374
_cell_length_c 13.691
_cell_angle_alpha 90.00
_cell_angle_beta 90.00
_cell_angle_gamma 90.00
loop_
_atom_site_label
_atom_site_type_symbol
_atom_site_fract_x
_atom_site_fract_y
_atom_site_fract_z
_atom_site_occupancy
La1 La 0.147 0.248 0.250 1
La2 La 0.345 0.602 0.095 1
Ga1 Ga 0.144 0.250 0.000 1
Ga2 Ga 0.349 0.604 0.750 1
Rh1 Rh 0.125 0.534 0.592 1
```